1.
RbLiMnP3HO10: theoretical PXRD pattern (Cu Kα X-rays), based on a crystal structure in Alexandria, relaxed with PBE+U.

Most intense lines, 10° ≤ 2θ ≤ 90°, in order of falling intensity:
| 2theta | d (Å) | I_rel | (hkl) |
| --- | --- | --- | --- |
| 27.69 | 3.222 | 100 | 0 2 2 |
| 20.95 | 4.240 | 90 | 2 0 -2 |
| 28.95 | 3.084 | 84 | 2 2 1 |
| 25.00 | 3.562 | 58 | 2 2 -1 |
| 27.49 | 3.245 | 57 | 3 1 -2 |
| 19.71 | 4.504 | 50 | 0 0 2 |
| 32.34 | 2.768 | 48 | 4 0 0 |
| 14.19 | 6.243 | 45 | 1 1 -1 |
| 39.16 | 2.301 | 44 | 3 3 -2 |
| 25.57 | 3.484 | 35 | 1 1 2 |

Atomic structure:
```
data_RbLiMnP3HO10
_cell_length_a 11.7217
_cell_length_b 9.2227
_cell_length_c 9.5368
_cell_angle_alpha 90.00
_cell_angle_beta 109.17
_cell_angle_gamma 90.00
_symmetry_space_group_name_H-M 'C 1 c 1'
_symmetry_Int_Tables_number 9
loop_
_symmetry_equiv_pos_as_xyz
'x,y,z'
'x,-y,z+1/2'
'x+1/2,y+1/2,z'
'x+1/2,-y+1/2,z+1/2'
loop_
_atom_site_label
_atom_site_type_symbol
_atom_site_fract_x
_atom_site_fract_y
_atom_site_fract_z
Rb1 Rb 0.0000 0.0367 0.0000
Li1 Li 0.4608 0.0973 0.2509
Mn1 Mn 0.2484 0.2478 0.7310
P1 P 0.2143 0.4285 0.0474
P2 P 0.2765 0.0689 0.4152
P3 P 0.4934 0.1164 0.9869
H1 H 0.2393 0.2551 0.2156
O1 O 0.0545 0.3050 0.6316
O2 O 0.0811 0.4980 0.9487
O3 O 0.1698 0.3091 0.1362
O4 O 0.1937 0.0456 0.8183
O5 O 0.2239 0.1462 0.5192
O6 O 0.2635 0.3650 0.9340
O7 O 0.2918 0.4561 0.6457
O8 O 0.3368 0.1676 0.3283
O9 O 0.3958 0.0203 0.0320
O10 O 0.4378 0.1954 0.8434
```

2.
LiMnVP2H2O10: theoretical PXRD pattern (Cu Kα X-rays), based on a crystal structure in Alexandria, relaxed with PBE+U.

Most intense lines, 10° ≤ 2θ ≤ 90°, in order of falling intensity:
| 2theta | d (Å) | I_rel | (hkl) |
| --- | --- | --- | --- |
| 27.22 | 3.276 | 100 | 1 1 -2 |
| 17.93 | 4.947 | 92 | 1 -1 0 |
| 25.97 | 3.431 | 89 | 0 1 -3 |
| 18.50 | 4.795 | 80 | 0 1 1 |
| 29.50 | 3.028 | 77 | -1 2 1 |
| 24.90 | 3.575 | 39 | 1 -1 2 |
| 26.09 | 3.415 | 33 | 1 -2 1 |
| 26.57 | 3.354 | 32 | 1 1 0 |
| 21.76 | 4.083 | 29 | 1 0 1 |
| 36.49 | 2.463 | 25 | 1 2 -1 |

Atomic structure:
```
data_LiMnVP2H2O10
_cell_length_a 5.3309
_cell_length_b 7.3595
_cell_length_c 10.5255
_cell_angle_alpha 105.77
_cell_angle_beta 95.03
_cell_angle_gamma 110.12
_symmetry_space_group_name_H-M 'P -1'
_symmetry_Int_Tables_number 2
loop_
_symmetry_equiv_pos_as_xyz
'x,y,z'
'-x,-y,-z'
loop_
_atom_site_label
_atom_site_type_symbol
_atom_site_fract_x
_atom_site_fract_y
_atom_site_fract_z
Li1 Li 0.1856 0.1190 0.2351
Mn1 Mn 0.2459 0.7427 0.7484
V1 V 0.0000 0.5000 0.0000
V2 V 0.5000 0.0000 0.5000
P1 P 0.1424 0.2996 0.5371
P2 P 0.3553 0.1956 0.9634
H1 H 0.0915 0.5794 0.2527
H2 H 0.4421 0.9178 0.2491
O1 O 0.0032 0.4497 0.1762
O2 O 0.0866 0.2672 0.3867
O3 O 0.1293 0.7788 0.4116
O4 O 0.1773 0.3183 0.9400
O5 O 0.1852 0.9742 0.8686
O6 O 0.3029 0.5256 0.6210
O7 O 0.3258 0.1804 0.5643
O8 O 0.3709 0.7259 0.0856
O9 O 0.4039 0.2064 0.1101
O10 O 0.4852 0.0518 0.3198
```

3.
LiMnVP2H2O10: theoretical PXRD pattern (Cu Kα X-rays), based on a crystal structure in Alexandria, relaxed with PBE+U.

Most intense lines, 10° ≤ 2θ ≤ 90°, in order of falling intensity:
| 2theta | d (Å) | I_rel | (hkl) |
| --- | --- | --- | --- |
| 26.03 | 3.424 | 100 | 0 1 1 |
| 17.96 | 4.939 | 91 | 1 0 -1 |
| 27.14 | 3.286 | 86 | 1 0 1 |
| 29.43 | 3.035 | 85 | 1 1 -2 |
| 18.48 | 4.801 | 84 | 0 1 -1 |
| 34.17 | 2.624 | 46 | -1 1 2 |
| 25.10 | 3.547 | 41 | -1 1 1 |
| 26.61 | 3.350 | 35 | 1 -1 1 |
| 26.18 | 3.404 | 34 | 1 0 -2 |
| 21.89 | 4.060 | 31 | 1 -1 0 |

Atomic structure:
```
data_LiMnVP2H2O10
_cell_length_a 5.3267
_cell_length_b 5.3341
_cell_length_c 7.3517
_cell_angle_alpha 104.83
_cell_angle_beta 109.97
_cell_angle_gamma 99.51
_symmetry_space_group_name_H-M 'P 1'
_symmetry_Int_Tables_number 1
loop_
_symmetry_equiv_pos_as_xyz
'x,y,z'
loop_
_atom_site_label
_atom_site_type_symbol
_atom_site_fract_x
_atom_site_fract_y
_atom_site_fract_z
Li1 Li 0.0000 0.0000 0.0000
Mn1 Mn 0.5447 0.9791 0.1045
V1 V 0.0458 0.4738 0.5958
P1 P 0.4422 0.5591 0.3359
P2 P 0.6495 0.3969 0.8607
H1 H 0.2302 0.9796 0.7704
H2 H 0.8959 0.9735 0.4194
O1 O 0.2063 0.8375 0.8337
O2 O 0.2942 0.6048 0.4890
O3 O 0.3277 0.2953 0.7342
O4 O 0.3405 0.2638 0.2002
O5 O 0.3642 0.7454 0.2093
O6 O 0.7272 0.2106 0.9902
O7 O 0.7417 0.6937 0.9906
O8 O 0.7648 0.6496 0.4605
O9 O 0.8081 0.3514 0.7163
O10 O 0.8797 0.1270 0.3676
```